(1)
Diffraction record for ZrNpU. The XRD peak list is calculated, not measured: it uses the PBE geometry in OQMD and a wavelength of 1.5418 Å.
Neutral-atom scattering factors, no anomalous dispersion.

Largest 10 diffraction maxima, in order of rising 2θ, 10 to 80 degrees two-theta:
2theta, I/Imax
23.60, 55
27.32, 4
39.02, 100
46.11, 30
48.28, 1
56.36, 17
61.95, 13
63.74, 1
70.68, 36
75.69, 10

Atomic structure:
Lattice parameters (Å, degrees): 6.5295 6.5295 6.5295 90.00 90.00 90.00
Space group F-43m (No. 216)
Asymmetric unit:
Zr (0.0000, 0.0000, 0.0000)
Np (0.0000, 0.0000, 0.5000)
U (0.2500, 0.2500, 0.7500)

---

(2)
Diffraction record for OsO. The XRD peak list is calculated, not measured: it uses the PBE geometry in OQMD and a wavelength of 1.5418 Å.
Neutral-atom scattering factors, no anomalous dispersion.

Largest 7 diffraction maxima, in order of rising 2θ, 10 to 80 degrees two-theta:
2theta, I/Imax
25.46, 64
38.81, 72
46.99, 100
52.30, 13
67.00, 30
70.27, 16
76.09, 20

Atomic structure:
Lattice parameters (Å, degrees): 2.6790 2.6790 3.4985 90.00 90.00 120.00
Space group P-6m2 (No. 187)
Asymmetric unit:
Os (0.0000, 0.0000, 0.0000)
O (0.3333, 0.6667, 0.5000)

---

(3)
Diffraction record for Os4O11. The XRD peak list is calculated, not measured: it uses the PBE geometry in OQMD and a wavelength of 1.5418 Å.
Neutral-atom scattering factors, no anomalous dispersion.

Largest 12 diffraction maxima, in order of rising 2θ, 10 to 80 degrees two-theta:
2theta, I/Imax
10.37, 25
18.40, 28
20.33, 100
24.22, 17
27.89, 12
28.02, 12
34.87, 22
36.60, 18
37.30, 13
39.48, 12
44.32, 18
44.82, 17

Atomic structure:
Lattice parameters (Å, degrees): 4.7020 4.9584 8.7596 86.61 76.81 76.49
Space group P1 (No. 1)
Asymmetric unit:
Os (0.0000, 0.0000, 0.0000)
Os (0.1520, 0.5584, 0.8559)
Os (0.5659, 0.3965, 0.5373)
Os (0.7917, 0.5129, 0.2166)
O (0.0329, 0.1671, 0.2021)
O (0.1679, 0.4138, 0.6436)
O (0.2009, 0.6279, 0.0725)
O (0.3179, 0.1588, 0.8946)
O (0.4352, 0.4200, 0.3397)
O (0.5395, 0.5733, 0.7317)
O (0.6714, 0.8663, 0.1404)
O (0.7645, 0.6596, 0.4227)
O (0.8040, 0.4056, 0.9834)
O (0.8054, 0.0832, 0.5390)
O (0.9064, 0.9027, 0.8099)

---

> Number 3 is which compound?

Os4O11